[1]
For Fe6Hg2Au, DFT lattice parameters and positions (PBE) gives the calculated X-ray powder pattern in this record (Cu Kα).
Neutral-atom scattering factors, no anomalous dispersion.

The 10 most intense peaks (10° ≤ 2θ ≤ 90°), in order of rising 2θ:
- 21.3 deg, 4.170 Å, intensity 22
- 32.0 deg, 2.793 Å, intensity 29
- 38.0 deg, 2.366 Å, intensity 10
- 38.8 deg, 2.320 Å, intensity 100
- 43.4 deg, 2.085 Å, intensity 15
- 45.6 deg, 1.991 Å, intensity 23
- 45.9 deg, 1.979 Å, intensity 13
- 46.3 deg, 1.959 Å, intensity 16
- 76.6 deg, 1.244 Å, intensity 21
- 79.7 deg, 1.204 Å, intensity 14

Structure:
```
9
Lattice="4.6051 -1.9909 0.0000 4.6051 1.9909 0.0000 -3.3265 0.0000 7.0967" Properties=species:S:1:pos:R:3 pbc="T T T"
Fe 0.9746 0.0000 0.4912
Fe -0.6317 0.0000 5.9738
Fe 1.0654 0.0000 2.8733
Fe 4.8183 0.0000 4.2234
Fe 6.5154 0.0000 1.1230
Fe 4.9091 0.0000 6.6056
Hg 3.8305 0.0000 1.5443
Hg 2.0532 0.0000 5.5525
Au -1.6632 0.0000 3.5484
```


[2]
For KFeTe2AuSe, DFT lattice parameters and positions (PBE) gives the calculated X-ray powder pattern in this record (Cu Kα).
Neutral-atom scattering factors, no anomalous dispersion.

The 10 most intense peaks (10° ≤ 2θ ≤ 90°), in order of rising 2θ:
- 11.0 deg, 8.033 Å, intensity 100
- 23.8 deg, 3.743 Å, intensity 35
- 29.9 deg, 2.993 Å, intensity 55
- 33.5 deg, 2.678 Å, intensity 27
- 34.5 deg, 2.601 Å, intensity 40
- 36.4 deg, 2.466 Å, intensity 29
- 38.8 deg, 2.322 Å, intensity 23
- 48.6 deg, 1.873 Å, intensity 21
- 51.0 deg, 1.790 Å, intensity 22
- 59.8 deg, 1.547 Å, intensity 22

Structure:
```
12
Lattice="1.9241 -8.0327 0.0000 1.9241 8.0327 0.0000 0.0000 0.0000 10.4048" Properties=species:S:1:pos:R:3 pbc="T T T"
K 1.9241 4.0862 7.8036
K 1.9241 -4.0862 2.6012
Fe 0.0000 0.0000 0.0000
Fe 0.0000 0.0000 5.2024
Te 1.9241 1.7453 0.0508
Te 1.9241 1.7453 5.1516
Te 1.9241 -1.7453 5.2532
Te 1.9241 -1.7453 10.3540
Au 1.9241 1.1047 2.6012
Au 1.9241 -1.1047 7.8036
Se 1.9241 7.1841 2.6012
Se 1.9241 -7.1841 7.8036
```


[3]
For LaFeSi2Au, DFT lattice parameters and positions (PBE) gives the calculated X-ray powder pattern in this record (Cu Kα).
Neutral-atom scattering factors, no anomalous dispersion.

The 10 most intense peaks (10° ≤ 2θ ≤ 90°), in order of rising 2θ:
- 22.8 deg, 3.902 Å, intensity 50
- 33.8 deg, 2.652 Å, intensity 34
- 34.8 deg, 2.578 Å, intensity 100
- 35.1 deg, 2.556 Å, intensity 18
- 42.8 deg, 2.111 Å, intensity 36
- 49.1 deg, 1.856 Å, intensity 14
- 55.7 deg, 1.651 Å, intensity 17
- 56.5 deg, 1.628 Å, intensity 18
- 62.8 deg, 1.480 Å, intensity 17
- 73.3 deg, 1.292 Å, intensity 23

Structure:
```
5
Lattice="-2.1107 2.1107 5.1129 2.1107 -2.1107 5.1129 2.1107 2.1107 -5.1129" Properties=species:S:1:pos:R:3 pbc="T T T"
La 0.0000 0.0000 0.0000
Fe 0.0000 2.1107 2.5565
Si 0.0000 0.0000 3.8824
Si 0.0000 0.0000 6.3435
Au 2.1107 0.0000 2.5565
```


Question: Which formula does entry 2 have?
Answer: KFeTe2AuSe


Question: Number 3 is which compound?
Answer: LaFeSi2Au